Calculated powder diffractogram of GeAs2O9 for Cu Kα X-rays, from a DFT-relaxed cell (PBE, the Materials Project).
Intensities are scaled so that the largest is 100.

The 12 most intense peaks (10° ≤ 2θ ≤ 90°), most intense first:
2θ 25.02, intensity 100.0; 2θ 23.81, intensity 92.0; 2θ 26.28, intensity 58.7; 2θ 35.20, intensity 57.6; 2θ 20.22, intensity 56.7; 2θ 30.85, intensity 49.3; 2θ 32.07, intensity 38.5; 2θ 33.64, intensity 37.8; 2θ 36.91, intensity 34.6; 2θ 21.97, intensity 32.6; 2θ 18.75, intensity 31.4; 2θ 21.26, intensity 29.4

a = 8.129 Å, b = 5.582 Å, c = 18.981 Å
α = 90.00°, β = 109.74°, γ = 90.00°
Element x y z (fractional)
Ge: 0.244 0.225 0.473
Ge: 0.244 0.275 0.973
Ge: 0.756 0.725 0.027
Ge: 0.756 0.775 0.527
As: 0.088 0.726 0.457
As: 0.088 0.774 0.957
As: 0.451 0.673 0.098
As: 0.451 0.827 0.598
As: 0.549 0.173 0.402
As: 0.549 0.327 0.902
As: 0.912 0.226 0.043
As: 0.912 0.274 0.543
O: 0.072 0.051 0.916
O: 0.072 0.449 0.416
O: 0.111 0.183 0.540
O: 0.111 0.317 0.040
O: 0.133 0.196 0.725
O: 0.133 0.304 0.225
O: 0.159 0.543 0.914
O: 0.159 0.957 0.414
O: 0.181 0.513 0.239
O: 0.181 0.987 0.739
O: 0.258 0.651 0.541
O: 0.258 0.849 0.041
O: 0.390 0.164 0.926
O: 0.390 0.336 0.426
O: 0.428 0.107 0.553
O: 0.428 0.393 0.053
O: 0.470 0.694 0.186
O: 0.470 0.806 0.686
O: 0.530 0.194 0.314
O: 0.530 0.306 0.814
O: 0.572 0.607 0.947
O: 0.572 0.893 0.447
O: 0.610 0.664 0.574
O: 0.610 0.836 0.074
O: 0.742 0.151 0.959
O: 0.742 0.349 0.459
O: 0.819 0.013 0.261
O: 0.819 0.487 0.761
O: 0.841 0.043 0.586
O: 0.841 0.457 0.086
O: 0.867 0.696 0.775
O: 0.867 0.804 0.275
O: 0.889 0.683 0.960
O: 0.889 0.817 0.460
O: 0.928 0.551 0.584
O: 0.928 0.949 0.084